Entry 1:
Simulated powder diffraction line list
Compound: Tb3FeSi6
Radiation: Cu Kα, 1.54184 Å
Structure: DFT lattice parameters and positions (PBE)
Kinematic intensities with the Lorentz-polarization factor, no thermal factor.

Crystal structure
```
data_Tb3FeSi6
_chemical_formula_sum 'Tb12 Fe4 Si24'
_space_group_name_H-M_alt 'A m m 2'
_space_group_IT_number 38
_cell_length_a 4.009
_cell_length_b 4.060
_cell_length_c 46.932
_cell_angle_alpha 90.00
_cell_angle_beta 90.00
_cell_angle_gamma 90.00
loop_
_space_group_symop_operation_xyz
'x,y,z'
'-x,-y,z'
'-x,y,z'
'x,-y,z'
'x,y+1/2,z+1/2'
'-x,-y+1/2,z+1/2'
'-x,y+1/2,z+1/2'
'x,-y+1/2,z+1/2'
loop_
_atom_site_label
_atom_site_type_symbol
_atom_site_fract_x
_atom_site_fract_y
_atom_site_fract_z
_atom_site_occupancy
Tb1 Tb 0.000 0.000 0.000 1
Tb2 Tb 0.000 0.000 0.330 1
Tb3 Tb 0.000 0.000 0.669 1
Tb4 Tb 0.500 0.000 0.259 1
Tb5 Tb 0.500 0.000 0.595 1
Tb6 Tb 0.500 0.000 0.926 1
Fe1 Fe 0.500 0.000 0.048 1
Fe2 Fe 0.500 0.000 0.379 1
Si1 Si 0.000 0.000 0.066 1
Si2 Si 0.000 0.000 0.119 1
Si3 Si 0.000 0.000 0.396 1
Si4 Si 0.000 0.000 0.448 1
Si5 Si 0.000 0.000 0.730 1
Si6 Si 0.000 0.000 0.779 1
Si7 Si 0.500 0.000 0.147 1
Si8 Si 0.500 0.000 0.196 1
Si9 Si 0.500 0.000 0.476 1
Si10 Si 0.500 0.000 0.529 1
Si11 Si 0.500 0.000 0.808 1
Si12 Si 0.500 0.000 0.860 1
```

Top 6 peaks for 2θ = 15–90°, by angle:
| index | two_theta | I (rel.) |
| --- | --- | --- |
| 0 1 3 | 22.63 | 44 |
| 1 0 6 | 24.96 | 71 |
| 1 1 3 | 31.90 | 79 |
| 1 1 9 | 35.88 | 100 |
| 0 1 15 | 36.25 | 62 |
| 1 0 18 | 41.30 | 41 |

Entry 2:
Simulated powder diffraction line list
Compound: DyCu3Pd6
Radiation: Cu Kα, 1.54184 Å
Structure: DFT lattice parameters and positions (PBE)
Kinematic intensities with the Lorentz-polarization factor, no thermal factor.

Crystal structure
```
data_DyCu3Pd6
_chemical_formula_sum 'Dy2 Cu6 Pd12'
_space_group_name_H-M_alt 'P 1 21/m 1'
_space_group_IT_number 11
_cell_length_a 7.467
_cell_length_b 4.486
_cell_length_c 9.867
_cell_angle_alpha 90.00
_cell_angle_beta 110.36
_cell_angle_gamma 90.00
loop_
_space_group_symop_operation_xyz
'x,y,z'
'-x,-y,-z'
'-x,y+1/2,-z'
'x,-y+1/2,z'
loop_
_atom_site_label
_atom_site_type_symbol
_atom_site_fract_x
_atom_site_fract_y
_atom_site_fract_z
_atom_site_occupancy
Dy1 Dy 0.072 0.250 0.376 1
Cu1 Cu 0.256 0.250 0.975 1
Cu2 Cu 0.344 0.750 0.836 1
Cu3 Cu 0.488 0.250 0.589 1
Pd1 Pd 0.049 0.750 0.929 1
Pd2 Pd 0.141 0.750 0.223 1
Pd3 Pd 0.191 0.250 0.692 1
Pd4 Pd 0.267 0.750 0.543 1
Pd5 Pd 0.370 0.250 0.263 1
Pd6 Pd 0.441 0.750 0.112 1
```

Top 6 peaks for 2θ = 15–90°, by angle:
| index | two_theta | I (rel.) |
| --- | --- | --- |
| 2 0 -4 | 38.47 | 36 |
| 0 2 0 | 40.21 | 67 |
| 1 1 3 | 41.12 | 100 |
| 3 1 -1 | 41.66 | 95 |
| 2 1 -4 | 43.63 | 52 |
| 2 2 -4 | 56.87 | 22 |

Entry 3:
Simulated powder diffraction line list
Compound: Pr4Se3O2
Radiation: Cu Kα, 1.54184 Å
Structure: DFT lattice parameters and positions (PBE)
Kinematic intensities with the Lorentz-polarization factor, no thermal factor.

Crystal structure
```
data_Pr4Se3O2
_chemical_formula_sum 'Pr16 Se12 O8'
_space_group_name_H-M_alt 'C 1 2/c 1'
_space_group_IT_number 15
_cell_length_a 12.911
_cell_length_b 10.143
_cell_length_c 6.633
_cell_angle_alpha 90.00
_cell_angle_beta 91.27
_cell_angle_gamma 90.00
loop_
_space_group_symop_operation_xyz
'x,y,z'
'-x,-y,-z'
'-x,y,-z+1/2'
'x,-y,z+1/2'
'x+1/2,y+1/2,z'
'-x+1/2,-y+1/2,-z'
'-x+1/2,y+1/2,-z+1/2'
'x+1/2,-y+1/2,z+1/2'
loop_
_atom_site_label
_atom_site_type_symbol
_atom_site_fract_x
_atom_site_fract_y
_atom_site_fract_z
_atom_site_occupancy
Pr1 Pr 0.116 0.183 0.027 1
Pr2 Pr 0.160 0.423 0.579 1
Se1 Se 0.000 0.394 0.250 1
Se2 Se 0.119 0.125 0.542 1
O1 O 0.206 0.374 0.915 1
```

Top 6 peaks for 2θ = 15–90°, by angle:
| index | two_theta | I (rel.) |
| --- | --- | --- |
| 2 2 -1 | 25.91 | 82 |
| 0 0 2 | 26.89 | 70 |
| 4 0 0 | 27.64 | 70 |
| 2 0 2 | 30.57 | 100 |
| 5 1 0 | 35.89 | 50 |
| 4 0 -2 | 38.52 | 95 |

Entry 4:
Simulated powder diffraction line list
Compound: Cu3SbS3
Radiation: Cu Kα, 1.54184 Å
Structure: DFT lattice parameters and positions (PBE)
Kinematic intensities with the Lorentz-polarization factor, no thermal factor.

Crystal structure
```
data_Cu3SbS3
_chemical_formula_sum 'Cu12 Sb4 S12'
_space_group_name_H-M_alt 'P 21 21 21'
_space_group_IT_number 19
_cell_length_a 6.545
_cell_length_b 8.163
_cell_length_c 10.261
_cell_angle_alpha 90.00
_cell_angle_beta 90.00
_cell_angle_gamma 90.00
loop_
_space_group_symop_operation_xyz
'x,y,z'
'-x+1/2,-y,z+1/2'
'x+1/2,-y+1/2,-z'
'-x,y+1/2,-z+1/2'
loop_
_atom_site_label
_atom_site_type_symbol
_atom_site_fract_x
_atom_site_fract_y
_atom_site_fract_z
_atom_site_occupancy
Cu1 Cu 0.011 0.078 0.033 1
Cu2 Cu 0.054 0.671 0.094 1
Cu3 Cu 0.129 0.869 0.413 1
Sb1 Sb 0.113 0.728 0.765 1
S1 S 0.103 0.317 0.926 1
S2 S 0.103 0.341 0.554 1
S3 S 0.124 0.050 0.246 1
```

Top 6 peaks for 2θ = 15–90°, by angle:
| index | two_theta | I (rel.) |
| --- | --- | --- |
| 0 2 0 | 21.78 | 32 |
| 2 0 0 | 27.20 | 97 |
| 1 0 3 | 29.44 | 82 |
| 1 1 3 | 31.48 | 100 |
| 2 1 2 | 34.31 | 29 |
| 3 1 3 | 50.88 | 54 |

Entry 5:
Simulated powder diffraction line list
Compound: La2Th4Sb3N2
Radiation: Cu Kα, 1.54184 Å
Structure: DFT lattice parameters and positions (PBE)
Kinematic intensities with the Lorentz-polarization factor, no thermal factor.

Crystal structure
```
data_La2Th4Sb3N2
_chemical_formula_sum 'La4 Th8 Sb6 N4'
_space_group_name_H-M_alt 'I 4/m m m'
_space_group_IT_number 139
_space_group_name_Hall '-I 4 2'
_cell_length_a 4.803
_cell_length_b 4.803
_cell_length_c 26.617
_cell_angle_alpha 90.00
_cell_angle_beta 90.00
_cell_angle_gamma 90.00
loop_
_atom_site_label
_atom_site_type_symbol
_atom_site_fract_x
_atom_site_fract_y
_atom_site_fract_z
_atom_site_occupancy
La1 La 0.000 0.000 0.197 1
Th1 Th 0.000 0.500 0.083 1
Sb1 Sb 0.000 0.000 0.325 1
Sb2 Sb 0.000 0.000 0.500 1
N1 N 0.000 0.000 0.103 1
```

Top 6 peaks for 2θ = 15–90°, by angle:
| index | two_theta | I (rel.) |
| --- | --- | --- |
| 1 1 2 | 27.10 | 43 |
| 1 1 4 | 29.53 | 20 |
| 1 1 6 | 33.22 | 100 |
| 2 0 0 | 37.45 | 49 |
| 2 2 0 | 54.00 | 17 |
| 3 1 6 | 64.89 | 30 |

Entry 6:
Simulated powder diffraction line list
Compound: La6Ga5Hg
Radiation: Cu Kα, 1.54184 Å
Structure: DFT lattice parameters and positions (PBE)
Kinematic intensities with the Lorentz-polarization factor, no thermal factor.

Crystal structure
```
data_La6Ga5Hg
_chemical_formula_sum 'La12 Ga10 Hg2'
_space_group_name_H-M_alt 'I m m m'
_space_group_IT_number 71
_space_group_name_Hall '-I 2 2'
_cell_length_a 5.382
_cell_length_b 7.592
_cell_length_c 16.134
_cell_angle_alpha 90.00
_cell_angle_beta 90.00
_cell_angle_gamma 90.00
loop_
_atom_site_label
_atom_site_type_symbol
_atom_site_fract_x
_atom_site_fract_y
_atom_site_fract_z
_atom_site_occupancy
La1 La 0.000 0.242 0.000 1
La2 La 0.000 0.254 0.330 1
Ga1 Ga 0.000 0.000 0.167 1
Ga2 Ga 0.000 0.500 0.162 1
Ga3 Ga 0.000 0.500 0.500 1
Hg1 Hg 0.000 0.000 0.500 1
```

Top 6 peaks for 2θ = 15–90°, by angle:
| index | two_theta | I (rel.) |
| --- | --- | --- |
| 2 0 0 | 33.33 | 100 |
| 2 0 6 | 47.82 | 12 |
| 0 4 0 | 47.93 | 6 |
| 3 2 3 | 59.57 | 37 |
| 2 4 6 | 70.03 | 7 |
| 4 0 6 | 79.71 | 10 |